Simulated PXRD pattern
Compound: BaZr2BiSe
Radiation: a wavelength of 1.5418 Å
Structure: a DFT-relaxed cell (GGA-PBE, Alexandria)
Kinematic intensities with the Lorentz-polarization factor, no thermal factor.

Structure:
Cell lengths 5.4303, 5.4303, 6.0772 Å; angles 90.00, 90.00, 90.00 degrees
Element x y z (fractional)
Ba  0.0000  0.0000  0.0000
Zr  0.0000  0.5000  0.0000
Zr  0.5000  0.0000  0.0000
Bi  0.0000  0.0000  0.5000
Se  0.5000  0.5000  0.5000

Largest 10 diffraction maxima, low angle first, 10 to 90 degrees two-theta:
Position (°2θ), I/Imax
16.32, 94.8
23.16, 33.7
27.48, 100.0
29.39, 66.0
32.99, 97.4
33.80, 33.4
44.76, 83.1
47.35, 35.3
55.62, 28.0
56.72, 41.2

Simulated PXRD pattern
Compound: Ba6Si2Bi
Radiation: a wavelength of 1.5418 Å
Structure: a DFT-relaxed cell (GGA-PBE, Alexandria)
Kinematic intensities with the Lorentz-polarization factor, no thermal factor.

Structure:
Cell lengths 9.9867, 9.9867, 9.9867 Å; angles 113.22, 108.90, 106.37 degrees
Element x y z (fractional)
Ba  0.0105  0.2232  0.7874
Ba  0.1842  0.2858  0.4700
Ba  0.1842  0.7142  0.8984
Ba  0.3197  0.0203  0.7006
Ba  0.3197  0.6191  0.2994
Ba  0.4358  0.2232  0.2126
Ba  0.5642  0.7768  0.7874
Ba  0.6803  0.3809  0.7006
Ba  0.6803  0.9797  0.2994
Ba  0.8158  0.2858  0.1016
Ba  0.8158  0.7142  0.5300
Ba  0.9895  0.7768  0.2126
Si  0.1031  0.6031  0.5000
Si  0.3915  0.0000  0.3915
Si  0.6085  0.0000  0.6085
Si  0.8969  0.3969  0.5000
Bi  0.0000  0.0000  0.0000
Bi  0.5000  0.5000  0.0000

Largest 10 diffraction maxima, low angle first, 10 to 90 degrees two-theta:
Position (°2θ), I/Imax
24.16, 14.8
25.49, 26.7
26.85, 100.0
28.66, 56.3
29.19, 15.5
29.83, 23.3
32.58, 16.7
46.28, 13.4
48.26, 12.2
50.09, 20.5

Simulated PXRD pattern
Compound: Ba4Sn5Bi6
Radiation: a wavelength of 1.5418 Å
Structure: a DFT-relaxed cell (GGA-PBE, Alexandria)
Kinematic intensities with the Lorentz-polarization factor, no thermal factor.

Structure:
Cell lengths 11.6478, 11.6478, 20.2854 Å; angles 90.00, 90.00, 155.26 degrees
Element x y z (fractional)
Ba  0.0407  0.9593  0.4998
Ba  0.0592  0.9408  0.7817
Ba  0.1543  0.8457  0.2856
Ba  0.1603  0.8397  0.0000
Ba  0.8397  0.1603  0.5000
Ba  0.8457  0.1543  0.7856
Ba  0.9408  0.0592  0.2817
Ba  0.9593  0.0407  0.9998
Sn  0.1620  0.8380  0.6177
Sn  0.3205  0.6795  0.3236
Sn  0.3309  0.6691  0.0048
Sn  0.3473  0.6527  0.6421
Sn  0.4542  0.5458  0.7277
Sn  0.5458  0.4542  0.2277
Sn  0.6527  0.3473  0.1421
Sn  0.6691  0.3309  0.5048
Sn  0.6795  0.3205  0.8236
Sn  0.8380  0.1620  0.1177
Bi  0.0607  0.9393  0.1363
Bi  0.2307  0.7693  0.7453
Bi  0.2353  0.7647  0.4418
Bi  0.4269  0.5731  0.1364
Bi  0.4278  0.5722  0.8796
Bi  0.4386  0.5614  0.4182
Bi  0.5614  0.4386  0.9182
Bi  0.5722  0.4278  0.3796
Bi  0.5731  0.4269  0.6364
Bi  0.7647  0.2353  0.9418
Bi  0.7693  0.2307  0.2453
Bi  0.9393  0.0607  0.6363

Largest 10 diffraction maxima, low angle first, 10 to 90 degrees two-theta:
Position (°2θ), I/Imax
19.16, 11.7
21.76, 11.0
22.48, 12.7
25.09, 15.8
25.34, 21.4
29.67, 100.0
34.13, 12.3
34.69, 19.1
36.01, 50.6
60.85, 13.5

Simulated PXRD pattern
Compound: Ba5Sn9Bi6
Radiation: a wavelength of 1.5418 Å
Structure: a DFT-relaxed cell (GGA-PBE, Alexandria)
Kinematic intensities with the Lorentz-polarization factor, no thermal factor.

Structure:
Cell lengths 7.4341, 7.4341, 28.0182 Å; angles 90.00, 90.00, 120.00 degrees
Element x y z (fractional)
Ba  0.0000  0.0000  0.1583
Ba  0.0000  0.0000  0.3417
Ba  0.0000  0.0000  0.6583
Ba  0.0000  0.0000  0.8417
Ba  0.3333  0.6667  0.0561
Ba  0.3333  0.6667  0.2500
Ba  0.3333  0.6667  0.4439
Ba  0.6667  0.3333  0.5561
Ba  0.6667  0.3333  0.7500
Ba  0.6667  0.3333  0.9439
Sn  0.0587  0.5293  0.6500
Sn  0.0587  0.5293  0.8500
Sn  0.1957  0.3914  0.7500
Sn  0.1957  0.8043  0.7500
Sn  0.3914  0.1957  0.2500
Sn  0.4707  0.5293  0.6500
Sn  0.4707  0.5293  0.8500
Sn  0.4707  0.9413  0.6500
Sn  0.4707  0.9413  0.8500
Sn  0.5293  0.0587  0.1500
Sn  0.5293  0.0587  0.3500
Sn  0.5293  0.4707  0.1500
Sn  0.5293  0.4707  0.3500
Sn  0.6086  0.8043  0.7500
Sn  0.8043  0.1957  0.2500
Sn  0.8043  0.6086  0.2500
Sn  0.9413  0.4707  0.1500
Sn  0.9413  0.4707  0.3500
Bi  0.1650  0.3301  0.5514
Bi  0.1650  0.3301  0.9486
Bi  0.1650  0.8350  0.5514
Bi  0.1650  0.8350  0.9486
Bi  0.3301  0.1650  0.0514
Bi  0.3301  0.1650  0.4486
Bi  0.6699  0.8350  0.5514
Bi  0.6699  0.8350  0.9486
Bi  0.8350  0.1650  0.0514
Bi  0.8350  0.1650  0.4486
Bi  0.8350  0.6699  0.0514
Bi  0.8350  0.6699  0.4486

Largest 10 diffraction maxima, low angle first, 10 to 90 degrees two-theta:
Position (°2θ), I/Imax
27.90, 31.5
28.45, 21.1
29.35, 21.0
30.56, 48.6
31.94, 53.0
32.07, 100.0
33.82, 50.0
49.01, 36.4
57.00, 19.3
59.72, 53.0